Starting from a PBE+U-relaxed structure, the X-ray diffraction stick pattern of VReO4 was calculated for Cu Kα (weighted mean of Kα1 and Kα2).
Peak positions follow from Bragg's law for the DFT cell and can differ from measured ones.

Atomic structure:
Unit cell a=5.557 b=5.557 c=4.794 alpha=91.27 beta=91.27 gamma=61.96
Element x y z (fractional)
V: 0.236 0.236 0.011
V: 0.764 0.764 0.989
Re: 0.281 0.719 0.500
Re: 0.719 0.281 0.500
O: 0.093 0.093 0.312
O: 0.117 0.598 0.210
O: 0.384 0.384 0.719
O: 0.402 0.883 0.790
O: 0.598 0.117 0.210
O: 0.616 0.616 0.281
O: 0.883 0.402 0.790
O: 0.907 0.907 0.688

Main lines, by angle (2θ = 5–70°):
| Position (°2θ) | d_spacing | I_rel |
| --- | --- | --- |
| 18.5 | 4.792 | 57.5 |
| 18.6 | 4.763 | 57.1 |
| 26.0 | 3.423 | 84.4 |
| 26.7 | 3.336 | 78.3 |
| 36.6 | 2.454 | 100.0 |
| 41.1 | 2.195 | 28.5 |
| 53.1 | 1.725 | 21.8 |
| 53.2 | 1.721 | 21.6 |
| 53.8 | 1.703 | 22.8 |
| 54.0 | 1.699 | 20.7 |



Starting from a PBE+U-relaxed structure, the X-ray diffraction stick pattern of VReO4 was calculated for Cu Kα (weighted mean of Kα1 and Kα2).
Peak positions follow from Bragg's law for the DFT cell and can differ from measured ones.

Atomic structure:
Unit cell a=7.426 b=7.426 c=6.669 alpha=90.00 beta=90.00 gamma=134.69
Element x y z (fractional)
V: 0.117 0.883 0.750
V: 0.363 0.637 0.250
V: 0.637 0.363 0.750
V: 0.883 0.117 0.250
Re: 0.156 0.403 0.750
Re: 0.403 0.156 0.250
Re: 0.597 0.844 0.750
Re: 0.844 0.597 0.250
O: 0.030 0.970 0.250
O: 0.131 0.381 0.037
O: 0.131 0.381 0.463
O: 0.217 0.783 0.250
O: 0.263 0.737 0.750
O: 0.381 0.131 0.537
O: 0.381 0.131 0.963
O: 0.488 0.512 0.750
O: 0.512 0.488 0.250
O: 0.619 0.869 0.037
O: 0.619 0.869 0.463
O: 0.737 0.263 0.250
O: 0.783 0.217 0.750
O: 0.869 0.619 0.537
O: 0.869 0.619 0.963
O: 0.970 0.030 0.750

Main lines, by angle (2θ = 5–70°):
| Position (°2θ) | d_spacing | I_rel |
| --- | --- | --- |
| 18.6 | 4.779 | 100.0 |
| 26.0 | 3.427 | 73.8 |
| 26.7 | 3.334 | 68.4 |
| 36.6 | 2.454 | 87.9 |
| 37.6 | 2.390 | 30.3 |
| 41.1 | 2.196 | 25.1 |
| 42.8 | 2.114 | 18.4 |
| 53.1 | 1.724 | 38.1 |
| 53.9 | 1.700 | 39.9 |
| 67.3 | 1.392 | 22.0 |



Starting from a PBE+U-relaxed structure, the X-ray diffraction stick pattern of V2Re2O11 was calculated for Cu Kα (weighted mean of Kα1 and Kα2).
Peak positions follow from Bragg's law for the DFT cell and can differ from measured ones.

Atomic structure:
Unit cell a=9.624 b=9.624 c=8.124 alpha=90.00 beta=90.00 gamma=139.50
Element x y z (fractional)
V: 0.067 0.933 0.500
V: 0.253 0.747 0.340
V: 0.747 0.253 0.840
V: 0.933 0.067 0.000
Re: 0.189 0.811 0.949
Re: 0.495 0.505 0.583
Re: 0.505 0.495 0.083
Re: 0.811 0.189 0.449
O: 0.014 0.986 0.340
O: 0.070 0.485 0.445
O: 0.105 0.895 0.046
O: 0.159 0.841 0.396
O: 0.174 0.826 0.736
O: 0.227 0.330 0.087
O: 0.269 0.731 0.119
O: 0.330 0.227 0.587
O: 0.429 0.571 0.736
O: 0.444 0.556 0.403
O: 0.485 0.070 0.945
O: 0.515 0.930 0.445
O: 0.556 0.444 0.903
O: 0.571 0.429 0.236
O: 0.670 0.773 0.087
O: 0.731 0.269 0.619
O: 0.773 0.670 0.587
O: 0.826 0.174 0.236
O: 0.841 0.159 0.896
O: 0.895 0.105 0.546
O: 0.930 0.515 0.945
O: 0.986 0.014 0.840

Main lines, by angle (2θ = 5–70°):
| Position (°2θ) | d_spacing | I_rel |
| --- | --- | --- |
| 17.9 | 4.954 | 21.6 |
| 19.7 | 4.514 | 27.0 |
| 19.9 | 4.466 | 100.0 |
| 21.9 | 4.062 | 27.1 |
| 22.5 | 3.946 | 34.5 |
| 24.0 | 3.705 | 42.0 |
| 26.2 | 3.406 | 34.0 |
| 26.8 | 3.331 | 51.7 |
| 29.7 | 3.006 | 32.2 |
| 35.9 | 2.502 | 28.9 |



Starting from a PBE+U-relaxed structure, the X-ray diffraction stick pattern of VReO4 was calculated for Cu Kα (weighted mean of Kα1 and Kα2).
Peak positions follow from Bragg's law for the DFT cell and can differ from measured ones.

Atomic structure:
Unit cell a=9.997 b=9.997 c=4.802 alpha=91.67 beta=91.67 gamma=33.18
Element x y z (fractional)
V: 0.000 0.000 0.000
V: 0.257 0.257 0.989
V: 0.500 0.500 0.001
V: 0.743 0.743 0.010
Re: 0.097 0.652 0.501
Re: 0.348 0.903 0.498
Re: 0.652 0.097 0.501
Re: 0.903 0.348 0.498
O: 0.045 0.562 0.212
O: 0.070 0.070 0.718
O: 0.182 0.182 0.275
O: 0.193 0.699 0.790
O: 0.301 0.806 0.212
O: 0.328 0.328 0.688
O: 0.422 0.422 0.310
O: 0.438 0.956 0.786
O: 0.562 0.045 0.212
O: 0.578 0.578 0.691
O: 0.672 0.672 0.310
O: 0.699 0.193 0.790
O: 0.806 0.301 0.212
O: 0.817 0.817 0.722
O: 0.931 0.931 0.285
O: 0.956 0.438 0.786

Main lines, by angle (2θ = 5–70°):
| Position (°2θ) | d_spacing | I_rel |
| --- | --- | --- |
| 18.5 | 4.794 | 100.0 |
| 25.9 | 3.443 | 74.7 |
| 26.7 | 3.340 | 68.2 |
| 36.6 | 2.453 | 88.9 |
| 37.5 | 2.397 | 30.6 |
| 41.1 | 2.197 | 25.3 |
| 42.7 | 2.118 | 18.4 |
| 53.0 | 1.728 | 39.5 |
| 53.9 | 1.702 | 19.8 |
| 53.9 | 1.700 | 19.8 |



Starting from a PBE+U-relaxed structure, the X-ray diffraction stick pattern of V2Re2O11 was calculated for Cu Kα (weighted mean of Kα1 and Kα2).
Peak positions follow from Bragg's law for the DFT cell and can differ from measured ones.

Atomic structure:
Unit cell a=7.660 b=7.660 c=9.096 alpha=90.00 beta=90.00 gamma=125.57
Element x y z (fractional)
V: 0.054 0.946 0.500
V: 0.247 0.753 0.272
V: 0.753 0.247 0.772
V: 0.946 0.054 0.000
Re: 0.202 0.798 0.843
Re: 0.495 0.505 0.473
Re: 0.505 0.495 0.973
Re: 0.798 0.202 0.343
O: 0.072 0.483 0.344
O: 0.081 0.919 0.943
O: 0.123 0.877 0.322
O: 0.157 0.843 0.657
O: 0.228 0.339 0.023
O: 0.247 0.753 0.088
O: 0.329 0.671 0.834
O: 0.339 0.228 0.523
O: 0.384 0.616 0.563
O: 0.463 0.537 0.289
O: 0.483 0.072 0.844
O: 0.517 0.928 0.344
O: 0.537 0.463 0.789
O: 0.616 0.384 0.063
O: 0.661 0.772 0.023
O: 0.671 0.329 0.334
O: 0.753 0.247 0.588
O: 0.772 0.661 0.523
O: 0.843 0.157 0.157
O: 0.877 0.123 0.822
O: 0.919 0.081 0.443
O: 0.928 0.517 0.844

Main lines, by angle (2θ = 5–70°):
| Position (°2θ) | d_spacing | I_rel |
| --- | --- | --- |
| 17.3 | 5.140 | 39.7 |
| 19.5 | 4.548 | 46.1 |
| 23.3 | 3.811 | 69.8 |
| 23.5 | 3.782 | 92.3 |
| 24.2 | 3.673 | 25.5 |
| 25.4 | 3.505 | 100.0 |
| 30.6 | 2.921 | 25.8 |
| 32.9 | 2.726 | 26.4 |
| 34.9 | 2.570 | 40.0 |
| 49.7 | 1.836 | 33.0 |



Starting from a PBE+U-relaxed structure, the X-ray diffraction stick pattern of VReO4 was calculated for Cu Kα (weighted mean of Kα1 and Kα2).
Peak positions follow from Bragg's law for the DFT cell and can differ from measured ones.

Atomic structure:
Unit cell a=5.594 b=5.594 c=5.594 alpha=118.68 beta=106.56 gamma=103.60
Element x y z (fractional)
V: 0.000 0.000 0.000
V: 0.000 0.500 0.500
Re: 0.500 0.277 0.777
Re: 0.500 0.723 0.223
O: 0.213 0.257 0.470
O: 0.213 0.743 0.956
O: 0.280 0.280 0.000
O: 0.311 0.811 0.500
O: 0.689 0.189 0.500
O: 0.720 0.720 0.000
O: 0.787 0.257 0.044
O: 0.787 0.743 0.530

Main lines, by angle (2θ = 5–70°):
| Position (°2θ) | d_spacing | I_rel |
| --- | --- | --- |
| 18.4 | 4.810 | 100.0 |
| 25.8 | 3.460 | 75.6 |
| 26.6 | 3.345 | 68.0 |
| 36.6 | 2.454 | 89.0 |
| 37.4 | 2.405 | 30.9 |
| 41.0 | 2.201 | 25.3 |
| 42.6 | 2.123 | 18.3 |
| 52.9 | 1.732 | 53.9 |
| 53.8 | 1.703 | 37.1 |
| 67.0 | 1.398 | 23.2 |



Starting from a PBE+U-relaxed structure, the X-ray diffraction stick pattern of V2Re2O11 was calculated for Cu Kα (weighted mean of Kα1 and Kα2).
Peak positions follow from Bragg's law for the DFT cell and can differ from measured ones.

Atomic structure:
Unit cell a=7.799 b=7.799 c=9.374 alpha=90.00 beta=90.00 gamma=127.84
Element x y z (fractional)
V: 0.018 0.982 0.500
V: 0.293 0.707 0.332
V: 0.707 0.293 0.832
V: 0.982 0.018 0.000
Re: 0.239 0.761 0.915
Re: 0.499 0.501 0.521
Re: 0.501 0.499 0.021
Re: 0.761 0.239 0.415
O: 0.041 0.518 0.432
O: 0.052 0.948 0.334
O: 0.115 0.885 0.990
O: 0.214 0.786 0.735
O: 0.216 0.302 0.075
O: 0.273 0.727 0.155
O: 0.302 0.216 0.575
O: 0.369 0.631 0.916
O: 0.402 0.598 0.634
O: 0.435 0.565 0.354
O: 0.482 0.959 0.432
O: 0.518 0.041 0.932
O: 0.565 0.435 0.854
O: 0.598 0.402 0.134
O: 0.631 0.369 0.416
O: 0.698 0.784 0.075
O: 0.727 0.273 0.655
O: 0.784 0.698 0.575
O: 0.786 0.214 0.235
O: 0.885 0.115 0.490
O: 0.948 0.052 0.834
O: 0.959 0.482 0.932

Main lines, by angle (2θ = 5–70°):
| Position (°2θ) | d_spacing | I_rel |
| --- | --- | --- |
| 14.4 | 6.159 | 58.9 |
| 17.2 | 5.148 | 80.7 |
| 18.9 | 4.687 | 100.0 |
| 22.8 | 3.895 | 94.6 |
| 24.9 | 3.569 | 47.4 |
| 25.4 | 3.503 | 79.8 |
| 26.0 | 3.429 | 97.7 |
| 31.9 | 2.806 | 40.2 |
| 36.7 | 2.450 | 38.7 |
| 40.6 | 2.222 | 38.8 |



Starting from a PBE+U-relaxed structure, the X-ray diffraction stick pattern of Rh2WO6 was calculated for Cu Kα (weighted mean of Kα1 and Kα2).
Peak positions follow from Bragg's law for the DFT cell and can differ from measured ones.

Atomic structure:
Unit cell a=4.628 b=4.628 c=9.479 alpha=90.00 beta=90.00 gamma=90.00
Element x y z (fractional)
Rh: 0.000 0.000 0.168
Rh: 0.000 0.000 0.832
Rh: 0.500 0.500 0.332
Rh: 0.500 0.500 0.668
W: 0.000 0.000 0.500
W: 0.500 0.500 0.000
O: 0.194 0.194 0.335
O: 0.194 0.194 0.665
O: 0.197 0.197 0.000
O: 0.303 0.697 0.500
O: 0.306 0.694 0.165
O: 0.306 0.694 0.835
O: 0.694 0.306 0.165
O: 0.694 0.306 0.835
O: 0.697 0.303 0.500
O: 0.803 0.803 0.000
O: 0.806 0.806 0.335
O: 0.806 0.806 0.665

Main lines, by angle (2θ = 5–70°):
| Position (°2θ) | d_spacing | I_rel |
| --- | --- | --- |
| 21.4 | 4.159 | 12.4 |
| 27.3 | 3.272 | 100.0 |
| 34.4 | 2.610 | 85.3 |
| 38.9 | 2.314 | 23.8 |
| 52.9 | 1.731 | 66.5 |
| 56.2 | 1.636 | 15.7 |
| 58.4 | 1.580 | 8.0 |
| 63.6 | 1.463 | 15.2 |
| 65.6 | 1.423 | 16.1 |
| 67.6 | 1.386 | 19.2 |